(1)
For Gd3As5O12, a GGA-PBE-relaxed structure gives the simulated PXRD pattern in this record (Cu Kα (λ = 1.5418 Å)).

Main lines, in order of rising 2θ (2θ = 5–70°):
d/Å  2θ/deg  intensity
7.601  11.6  38
3.103  28.8  100
2.873  31.1  12
2.687  33.3  33
2.292  39.3  7
2.108  42.9  7
1.900  47.9  42
1.659  55.4  6
1.620  56.8  38
1.551  59.6  9

Atomic structure:
```
data_Gd3As5O12
_chemical_formula_sum 'Gd6 As10 O24'
_cell_length_a 9.309
_cell_length_b 9.309
_cell_length_c 9.309
_cell_angle_alpha 109.47
_cell_angle_beta 109.47
_cell_angle_gamma 109.47
_symmetry_space_group_name_H-M 'P 1'
_symmetry_Int_Tables_number 1
_symmetry_space_group_name_Hall 'P 1'
loop_
_atom_site_label
_atom_site_type_symbol
_atom_site_fract_x
_atom_site_fract_y
_atom_site_fract_z
Gd1 Gd 0.250 0.500 0.750
Gd2 Gd 0.250 0.750 0.500
Gd3 Gd 0.500 0.250 0.750
Gd4 Gd 0.500 0.750 0.250
Gd5 Gd 0.750 0.250 0.500
Gd6 Gd 0.750 0.500 0.250
As1 As 0.000 0.000 0.496
As2 As 0.000 0.289 0.289
As3 As 0.000 0.496 0.000
As4 As 0.000 0.711 0.711
As5 As 0.289 0.000 0.289
As6 As 0.289 0.289 0.000
As7 As 0.496 0.000 0.000
As8 As 0.504 0.504 0.504
As9 As 0.711 0.000 0.711
As10 As 0.711 0.711 0.000
O1 O 0.000 0.190 0.473
O2 O 0.000 0.473 0.190
O3 O 0.000 0.516 0.702
O4 O 0.000 0.702 0.516
O5 O 0.186 0.484 0.484
O6 O 0.190 0.000 0.473
O7 O 0.190 0.473 0.000
O8 O 0.283 0.810 0.810
O9 O 0.298 0.298 0.814
O10 O 0.298 0.814 0.298
O11 O 0.473 0.000 0.190
O12 O 0.473 0.190 0.000
O13 O 0.484 0.186 0.484
O14 O 0.484 0.484 0.186
O15 O 0.516 0.000 0.702
O16 O 0.516 0.702 0.000
O17 O 0.527 0.527 0.717
O18 O 0.527 0.717 0.527
O19 O 0.702 0.000 0.516
O20 O 0.702 0.516 0.000
O21 O 0.717 0.527 0.527
O22 O 0.810 0.283 0.810
O23 O 0.810 0.810 0.283
O24 O 0.814 0.298 0.298
```



(2)
For Gd3AsO7, a GGA-PBE-relaxed structure gives the simulated PXRD pattern in this record (Cu Kα (λ = 1.5418 Å)).

Main lines, in order of rising 2θ (2θ = 5–70°):
d/Å  2θ/deg  intensity
3.318  26.9  12
3.037  29.4  88
3.021  29.6  100
2.635  34.0  21
2.617  34.3  42
1.955  46.4  13
1.857  49.1  49
1.843  49.4  18
1.587  58.1  17
1.576  58.6  24

Atomic structure:
```
data_Gd3AsO7
_chemical_formula_sum 'Gd12 As4 O28'
_cell_length_a 7.374
_cell_length_b 10.541
_cell_length_c 7.431
_cell_angle_alpha 90.00
_cell_angle_beta 90.00
_cell_angle_gamma 90.00
_symmetry_space_group_name_H-M 'P 1'
_symmetry_Int_Tables_number 1
_symmetry_space_group_name_Hall 'P 1'
loop_
_atom_site_label
_atom_site_type_symbol
_atom_site_fract_x
_atom_site_fract_y
_atom_site_fract_z
Gd1 Gd 0.008 0.250 0.215
Gd2 Gd 0.245 0.025 0.543
Gd3 Gd 0.245 0.475 0.543
Gd4 Gd 0.255 0.525 0.043
Gd5 Gd 0.255 0.975 0.043
Gd6 Gd 0.492 0.750 0.715
Gd7 Gd 0.508 0.250 0.285
Gd8 Gd 0.745 0.025 0.957
Gd9 Gd 0.745 0.475 0.957
Gd10 Gd 0.755 0.525 0.457
Gd11 Gd 0.755 0.975 0.457
Gd12 Gd 0.992 0.750 0.785
As1 As 0.003 0.750 0.249
As2 As 0.497 0.250 0.749
As3 As 0.503 0.750 0.251
As4 As 0.997 0.250 0.751
O1 O 0.032 0.129 0.935
O2 O 0.032 0.371 0.935
O3 O 0.038 0.623 0.415
O4 O 0.038 0.877 0.415
O5 O 0.247 0.250 0.672
O6 O 0.247 0.617 0.769
O7 O 0.247 0.883 0.769
O8 O 0.253 0.117 0.269
O9 O 0.253 0.383 0.269
O10 O 0.253 0.750 0.172
O11 O 0.462 0.123 0.915
O12 O 0.462 0.377 0.915
O13 O 0.468 0.629 0.435
O14 O 0.468 0.871 0.435
O15 O 0.532 0.129 0.565
O16 O 0.532 0.371 0.565
O17 O 0.538 0.623 0.085
O18 O 0.538 0.877 0.085
O19 O 0.747 0.250 0.828
O20 O 0.747 0.617 0.731
O21 O 0.747 0.883 0.731
O22 O 0.753 0.117 0.231
O23 O 0.753 0.383 0.231
O24 O 0.753 0.750 0.328
O25 O 0.962 0.123 0.585
O26 O 0.962 0.377 0.585
O27 O 0.968 0.629 0.065
O28 O 0.968 0.871 0.065
```



(3)
For GeAs3, a GGA-PBE-relaxed structure gives the simulated PXRD pattern in this record (Cu Kα (λ = 1.5418 Å)).

Main lines, in order of rising 2θ (2θ = 5–70°):
d/Å  2θ/deg  intensity
3.529  25.2  12
2.791  32.1  100
2.061  43.9  31
1.896  48.0  35
1.780  51.3  13
1.765  51.8  4
1.671  55.0  8
1.569  58.9  17
1.396  67.1  9
1.374  68.3  8

Atomic structure:
```
data_GeAs3
_chemical_formula_sum 'Ge1 As3'
_cell_length_a 7.391
_cell_length_b 7.391
_cell_length_c 7.391
_cell_angle_alpha 29.74
_cell_angle_beta 29.74
_cell_angle_gamma 29.74
_symmetry_space_group_name_H-M 'P 1'
_symmetry_Int_Tables_number 1
_symmetry_space_group_name_Hall 'P 1'
loop_
_atom_site_label
_atom_site_type_symbol
_atom_site_fract_x
_atom_site_fract_y
_atom_site_fract_z
Ge1 Ge 0.000 0.000 0.000
As1 As 0.229 0.229 0.229
As2 As 0.499 0.499 0.499
As3 As 0.723 0.723 0.723
```